Starting from a crystal structure in Alexandria, relaxed with GGA-PBE, the PXRD pattern of Na2NpCrSe4 was simulated for Cu Kα X-rays.
Intensities are scaled so that the largest is 100.

Most intense lines, 15 to 90 degrees two-theta, most intense first:
two_theta  I/Imax  index
30.9  100  1 1 1
31.3  49  2 0 -2
43.1  37  1 1 -3
46.0  34  3 1 -1
44.8  21  0 2 0
55.7  19  2 2 -2
15.5  18  1 0 -1
26.0  17  1 1 0

Atomic structure:
Unit cell a=6.774 b=4.043 c=7.380 alpha=90.00 beta=108.35 gamma=90.00
Fractional positions:
1 Na 0.000 0.000 0.000
2 Na 0.500 0.500 0.000
3 Np 0.000 0.500 0.500
4 Cr 0.500 0.000 0.500
5 Se 0.260 0.000 0.726
6 Se 0.280 0.500 0.288
7 Se 0.720 0.500 0.712
8 Se 0.740 0.000 0.274